This entry pairs a crystal structure of Sm5Tm4Hg4 with its theoretical powder diffractogram. Radiation: Cu Kα, 1.54184 Å. Structure: a DFT-relaxed cell (PBE, Alexandria).

Cell and atoms:
a b c (Å): 12.118 12.118 5.122
angles (deg): 90.00 90.00 90.00
Space group I4/m (No. 87)
Symmetry-distinct sites (fractional):
Sm  0.000  0.000  0.000
Sm  0.119  0.814  0.500
Tm  0.098  0.602  0.000
Hg  0.092  0.243  0.000

The 10 most intense peaks (2θ = 10–90°), by intensity:
2theta, d_spacing, Rel. int., index
31.85, 2.810, 100.0, 2 3 1
35.04, 2.561, 29.1, 0 0 2
35.21, 2.549, 21.1, 1 4 1
60.85, 1.522, 16.0, 2 3 3
37.86, 2.377, 13.9, 5 1 0
33.06, 2.710, 11.6, 4 2 0
28.13, 3.172, 11.6, 3 0 1
52.53, 1.742, 10.9, 5 1 2
68.67, 1.367, 9.2, 3 8 1
58.29, 1.583, 8.4, 7 2 1

This entry pairs a crystal structure of Sm2TmHg6 with its theoretical powder diffractogram. Radiation: Cu Kα, 1.54184 Å. Structure: a DFT-relaxed cell (PBE, Alexandria).

Cell and atoms:
a b c (Å): 14.500 11.790 5.466
angles (deg): 90.00 100.00 90.00
Space group C2/c (No. 15)
Symmetry-distinct sites (fractional):
Sm  0.167  0.126  0.083
Tm  0.000  0.376  0.250
Hg  0.056  0.129  0.529
Hg  0.108  0.377  0.804
Hg  0.218  0.376  0.363

The 10 most intense peaks (2θ = 10–90°), by intensity:
2theta, d_spacing, Rel. int., index
33.70, 2.659, 100.0, 5 1 -1
35.90, 2.501, 84.5, 4 2 1
30.32, 2.948, 65.8, 0 4 0
40.22, 2.242, 62.0, 1 3 -2
57.56, 1.601, 21.9, 4 6 1
61.09, 1.517, 18.3, 6 2 -3
63.07, 1.474, 16.7, 0 8 0
51.22, 1.784, 15.7, 5 5 -1
51.17, 1.785, 15.7, 1 5 -2
65.07, 1.433, 15.3, 1 7 -2

This entry pairs a crystal structure of SmTmZnHg with its theoretical powder diffractogram. Radiation: Cu Kα, 1.54184 Å. Structure: a DFT-relaxed cell (PBE, Alexandria).

Cell and atoms:
a b c (Å): 3.607 3.607 7.510
angles (deg): 90.00 90.00 90.00
Space group P4mm (No. 99)
Symmetry-distinct sites (fractional):
Sm  0.000  0.000  0.000
Tm  0.000  0.000  0.467
Zn  0.500  0.500  0.249
Hg  0.500  0.500  0.716

The 10 most intense peaks (2θ = 10–90°), by intensity:
2theta, d_spacing, Rel. int., index
34.48, 2.601, 100.0, 1 0 2
35.19, 2.551, 49.4, 1 1 0
62.68, 1.482, 35.6, 2 1 2
50.61, 1.804, 17.7, 2 0 0
61.31, 1.512, 16.7, 1 1 4
27.43, 3.252, 13.9, 1 0 1
72.70, 1.301, 10.1, 2 0 4
11.78, 7.510, 9.6, 0 0 1
48.48, 1.878, 8.5, 0 0 4
85.04, 1.141, 8.1, 3 1 0

This entry pairs a crystal structure of Sm2YHg with its theoretical powder diffractogram. Radiation: Cu Kα, 1.54184 Å. Structure: a DFT-relaxed cell (PBE, Alexandria).

Cell and atoms:
a b c (Å): 3.727 12.526 10.353
angles (deg): 90.00 90.00 90.00
Space group Cmcm (No. 63)
Symmetry-distinct sites (fractional):
Sm  0.000  0.131  0.041
Y  0.000  0.453  0.250
Hg  0.000  0.255  0.750

The 10 most intense peaks (2θ = 10–90°), by intensity:
2theta, d_spacing, Rel. int., index
33.41, 2.682, 100.0, 0 4 2
30.40, 2.940, 42.7, 1 1 2
36.19, 2.482, 39.1, 1 1 3
55.32, 1.661, 21.6, 1 3 5
34.66, 2.588, 20.5, 0 0 4
60.52, 1.530, 19.9, 2 4 2
29.55, 3.023, 18.7, 0 2 3
32.20, 2.780, 18.5, 1 3 0
14.14, 6.263, 17.8, 0 2 0
48.88, 1.863, 13.6, 2 0 0

This entry pairs a crystal structure of SmY4Hg with its theoretical powder diffractogram. Radiation: Cu Kα, 1.54184 Å. Structure: a DFT-relaxed cell (PBE, Alexandria).

Cell and atoms:
a b c (Å): 8.823 14.089 6.372
angles (deg): 90.00 109.84 90.00
Space group C2/c (No. 15)
Symmetry-distinct sites (fractional):
Sm  0.000  0.105  0.250
Y  0.100  0.312  0.552
Y  0.216  0.106  0.861
Hg  0.000  0.500  0.250

The 10 most intense peaks (2θ = 10–90°), by intensity:
2theta, d_spacing, Rel. int., index
33.59, 2.668, 100.0, 1 5 0
34.01, 2.636, 89.2, 1 3 -2
32.70, 2.738, 77.5, 2 2 1
31.32, 2.856, 60.0, 3 1 -1
32.92, 2.721, 57.0, 2 2 -2
32.47, 2.758, 48.5, 0 2 2
28.41, 3.141, 42.0, 1 3 1
12.38, 7.151, 41.9, 1 1 0
33.41, 2.682, 41.8, 2 4 -1
12.57, 7.045, 39.7, 0 2 0

This entry pairs a crystal structure of Sm2YHg2 with its theoretical powder diffractogram. Radiation: Cu Kα, 1.54184 Å. Structure: a DFT-relaxed cell (PBE, Alexandria).

Cell and atoms:
a b c (Å): 3.780 5.351 14.025
angles (deg): 90.00 97.75 90.00
Space group P2_1/m (No. 11)
Symmetry-distinct sites (fractional):
Sm  0.046  0.250  0.091
Sm  0.234  0.250  0.469
Y  0.147  0.750  0.292
Hg  0.358  0.750  0.716
Hg  0.447  0.250  0.896

The 10 most intense peaks (2θ = 10–90°), by intensity:
2theta, d_spacing, Rel. int., index
33.19, 2.699, 100.0, 1 1 2
33.49, 2.676, 26.2, 0 2 0
32.21, 2.779, 22.0, 0 0 5
59.68, 1.549, 18.7, 1 3 2
47.15, 1.928, 15.3, 0 2 5
58.05, 1.589, 11.6, 1 1 7
59.92, 1.544, 9.9, 2 2 -1
69.67, 1.350, 9.6, 2 2 -6
48.14, 1.890, 9.5, 2 0 -1
80.13, 1.198, 8.1, 3 1 -4